Diffraction record for TbNd2Y6Sc. The powder XRD pattern is calculated, not measured: it uses a DFT-relaxed cell (PBE, Alexandria) and Cu Kα X-rays.
Peak positions follow from Bragg's law for the DFT cell and can differ from measured ones.

Principal peaks in the range 2θ = 5–70°, most intense first:
Position (°2θ)  I (rel.)
30.5  100
31.7  87
32.0  85
28.9  52
33.5  47
37.7  36
27.6  33
32.6  31
33.2  26
11.9  20
21.8  18
61.1  15

```
TbNd2Y6Sc
1.0
4.539 -7.424 0.000
4.539 7.424 0.000
-1.636 0.000 9.567
Tb Nd Y Sc
2 4 12 2
direct
0.017 0.983 0.750
0.983 0.017 0.250
0.197 0.294 0.547
0.294 0.197 0.047
0.706 0.803 0.953
0.803 0.706 0.453
0.009 0.571 0.690
0.123 0.744 0.057
0.256 0.877 0.443
0.298 0.506 0.885
0.429 0.991 0.810
0.494 0.702 0.615
0.506 0.298 0.385
0.571 0.009 0.190
0.702 0.494 0.115
0.744 0.123 0.557
0.877 0.256 0.943
0.991 0.429 0.310
0.409 0.591 0.250
0.591 0.409 0.750
```